(1)
# Ca4Pd3Pb8
Computed powder diffractogram, Cu Kα (λ = 1.5418 Å). Input: a crystal structure in Alexandria, relaxed with GGA-PBE.

Most intense lines, 10 to 90 degrees two-theta, by angle:
2theta, Rel. int.
21.0, 32
27.4, 12
28.0, 33
30.5, 16
33.2, 100
37.2, 50
43.1, 11
48.8, 18
53.6, 18
64.5, 30

Atomic structure:
Cell lengths 4.837, 4.837, 17.587 Å; angles 90.00, 90.00, 90.00 degrees
Element x y z (fractional)
Ca (0.000, 0.500, 0.096)
Ca (0.000, 0.500, 0.611)
Ca (0.500, 0.000, 0.389)
Ca (0.500, 0.000, 0.904)
Pd (0.000, 0.000, 0.000)
Pd (0.000, 0.000, 0.500)
Pd (0.500, 0.500, 0.500)
Pb (0.000, 0.000, 0.243)
Pb (0.000, 0.000, 0.757)
Pb (0.000, 0.500, 0.410)
Pb (0.000, 0.500, 0.903)
Pb (0.500, 0.000, 0.097)
Pb (0.500, 0.000, 0.590)
Pb (0.500, 0.500, 0.237)
Pb (0.500, 0.500, 0.763)

=====

(2)
# Ca3PdPb2
Computed powder diffractogram, Cu Kα (λ = 1.5418 Å). Input: a crystal structure in Alexandria, relaxed with GGA-PBE.

Most intense lines, 10 to 90 degrees two-theta, by angle:
2theta, Rel. int.
20.9, 100
21.0, 81
24.2, 47
29.6, 35
30.4, 36
32.3, 65
32.9, 35
35.0, 58
36.9, 99
37.6, 46

Atomic structure:
Cell lengths 12.486, 4.867, 11.562 Å; angles 90.00, 90.00, 90.00 degrees
Element x y z (fractional)
Ca (0.050, 0.250, 0.120)
Ca (0.117, 0.750, 0.565)
Ca (0.221, 0.250, 0.816)
Ca (0.279, 0.750, 0.316)
Ca (0.383, 0.250, 0.065)
Ca (0.450, 0.750, 0.620)
Ca (0.550, 0.250, 0.380)
Ca (0.617, 0.750, 0.935)
Ca (0.721, 0.250, 0.684)
Ca (0.779, 0.750, 0.184)
Ca (0.883, 0.250, 0.435)
Ca (0.950, 0.750, 0.880)
Pd (0.116, 0.250, 0.378)
Pd (0.384, 0.750, 0.878)
Pd (0.616, 0.250, 0.122)
Pd (0.884, 0.750, 0.622)
Pb (0.019, 0.750, 0.299)
Pb (0.198, 0.750, 0.020)
Pb (0.302, 0.250, 0.520)
Pb (0.481, 0.250, 0.799)
Pb (0.519, 0.750, 0.201)
Pb (0.698, 0.750, 0.480)
Pb (0.802, 0.250, 0.980)
Pb (0.981, 0.250, 0.701)

=====

(3)
# Ca2Pd3Pb2
Computed powder diffractogram, Cu Kα (λ = 1.5418 Å). Input: a crystal structure in Alexandria, relaxed with GGA-PBE.

Most intense lines, 10 to 90 degrees two-theta, by angle:
2theta, Rel. int.
20.2, 73
28.7, 30
32.2, 61
38.3, 100
41.0, 26
43.7, 24
48.6, 26
53.1, 28
57.4, 24
87.3, 20

Atomic structure:
Cell lengths 7.617, 7.617, 7.617 Å; angles 109.47, 109.47, 109.47 degrees
Element x y z (fractional)
Ca (0.000, 0.488, 0.500)
Ca (0.012, 0.012, 0.012)
Ca (0.488, 0.500, 0.000)
Ca (0.500, 0.000, 0.488)
Pd (0.022, 0.272, 0.750)
Pd (0.228, 0.250, 0.478)
Pd (0.250, 0.478, 0.228)
Pd (0.272, 0.750, 0.022)
Pd (0.478, 0.228, 0.250)
Pd (0.750, 0.022, 0.272)
Pb (0.000, 0.897, 0.500)
Pb (0.500, 0.000, 0.897)
Pb (0.603, 0.603, 0.603)
Pb (0.897, 0.500, 0.000)

=====

(4)
# CaPdPb
Computed powder diffractogram, Cu Kα (λ = 1.5418 Å). Input: a crystal structure in Alexandria, relaxed with GGA-PBE.

Most intense lines, 10 to 90 degrees two-theta, by angle:
2theta, Rel. int.
22.1, 54
23.3, 41
32.4, 100
34.1, 46
34.9, 56
38.8, 58
41.7, 62
45.8, 21
63.1, 68
81.0, 29

Atomic structure:
Cell lengths 8.030, 8.030, 3.819 Å; angles 90.00, 90.00, 120.00 degrees
Element x y z (fractional)
Ca (0.000, 0.603, 0.000)
Ca (0.397, 0.397, 0.000)
Ca (0.603, 0.000, 0.000)
Pd (0.000, 0.000, 0.000)
Pd (0.333, 0.667, 0.500)
Pd (0.667, 0.333, 0.500)
Pb (0.000, 0.274, 0.500)
Pb (0.274, 0.000, 0.500)
Pb (0.726, 0.726, 0.500)

=====

(5)
# CaPdPb3
Computed powder diffractogram, Cu Kα (λ = 1.5418 Å). Input: a crystal structure in Alexandria, relaxed with GGA-PBE.

Most intense lines, 10 to 90 degrees two-theta, by angle:
2theta, Rel. int.
16.8, 90
28.1, 100
32.8, 48
34.0, 88
36.2, 66
39.2, 25
41.1, 40
45.6, 31
52.0, 27
57.3, 26

Atomic structure:
Cell lengths 7.141, 7.141, 7.141 Å; angles 67.69, 67.69, 67.69 degrees
Element x y z (fractional)
Ca (0.000, 0.000, 0.000)
Ca (0.500, 0.500, 0.500)
Pd (0.322, 0.322, 0.322)
Pd (0.822, 0.822, 0.822)
Pb (0.024, 0.459, 0.063)
Pb (0.063, 0.024, 0.459)
Pb (0.459, 0.063, 0.024)
Pb (0.524, 0.563, 0.959)
Pb (0.563, 0.959, 0.524)
Pb (0.959, 0.524, 0.563)

=====

(6)
# Ca3Pd6Pb2
Computed powder diffractogram, Cu Kα (λ = 1.5418 Å). Input: a crystal structure in Alexandria, relaxed with GGA-PBE.

Most intense lines, 10 to 90 degrees two-theta, by angle:
2theta, Rel. int.
12.7, 59
18.0, 45
25.5, 27
31.4, 32
34.0, 24
38.7, 100
40.9, 85
45.0, 52
62.4, 26
70.0, 27

Atomic structure:
Cell lengths 8.548, 8.548, 8.548 Å; angles 109.47, 109.47, 109.47 degrees
Element x y z (fractional)
Ca (0.000, 0.297, 0.297)
Ca (0.000, 0.703, 0.703)
Ca (0.297, 0.000, 0.297)
Ca (0.297, 0.297, 0.000)
Ca (0.703, 0.000, 0.703)
Ca (0.703, 0.703, 0.000)
Pd (0.000, 0.345, 0.655)
Pd (0.000, 0.655, 0.345)
Pd (0.311, 0.655, 0.655)
Pd (0.345, 0.000, 0.655)
Pd (0.345, 0.345, 0.689)
Pd (0.345, 0.655, 0.000)
Pd (0.345, 0.689, 0.345)
Pd (0.655, 0.000, 0.345)
Pd (0.655, 0.311, 0.655)
Pd (0.655, 0.345, 0.000)
Pd (0.655, 0.655, 0.311)
Pd (0.689, 0.345, 0.345)
Pb (0.000, 0.000, 0.500)
Pb (0.000, 0.500, 0.000)
Pb (0.500, 0.000, 0.000)
Pb (0.500, 0.500, 0.500)

=====

(7)
# Ca8PdPb2
Computed powder diffractogram, Cu Kα (λ = 1.5418 Å). Input: a crystal structure in Alexandria, relaxed with GGA-PBE.

Most intense lines, 10 to 90 degrees two-theta, by angle:
2theta, Rel. int.
18.7, 65
19.8, 61
20.4, 100
22.1, 72
30.0, 56
32.5, 86
32.9, 68
33.9, 79
37.2, 39
38.1, 31

Atomic structure:
Cell lengths 9.836, 9.836, 7.299 Å; angles 108.57, 108.57, 32.11 degrees
Element x y z (fractional)
Ca (0.021, 0.021, 0.291)
Ca (0.203, 0.203, 0.781)
Ca (0.352, 0.352, 0.556)
Ca (0.405, 0.405, 0.081)
Ca (0.595, 0.595, 0.919)
Ca (0.648, 0.648, 0.444)
Ca (0.797, 0.797, 0.219)
Ca (0.979, 0.979, 0.709)
Pd (0.500, 0.500, 0.500)
Pb (0.183, 0.183, 0.205)
Pb (0.817, 0.817, 0.795)

=====

(8)
# Ca5Pd4Pb
Computed powder diffractogram, Cu Kα (λ = 1.5418 Å). Input: a crystal structure in Alexandria, relaxed with GGA-PBE.

Most intense lines, 10 to 90 degrees two-theta, by angle:
2theta, Rel. int.
23.7, 19
25.1, 35
31.6, 14
34.8, 100
35.8, 56
43.4, 19
51.5, 19
57.5, 12
61.7, 14
63.6, 33

Atomic structure:
Cell lengths 3.551, 3.551, 18.747 Å; angles 90.00, 90.00, 90.00 degrees
Element x y z (fractional)
Ca (0.000, 0.000, 0.000)
Ca (0.000, 0.000, 0.187)
Ca (0.000, 0.000, 0.375)
Ca (0.000, 0.000, 0.625)
Ca (0.000, 0.000, 0.813)
Pd (0.500, 0.500, 0.094)
Pd (0.500, 0.500, 0.280)
Pd (0.500, 0.500, 0.720)
Pd (0.500, 0.500, 0.906)
Pb (0.500, 0.500, 0.500)